The following is a computed X-ray powder pattern of Th3AgHg4. It was derived from the GGA-PBE geometry in Alexandria, using copper Kα.

Cell and atoms:
```
data_Th3AgHg4
_space_group_name_H-M_alt 'I m m m'
_space_group_IT_number 71
_space_group_name_Hall '-I 2 2'
_cell_length_a 3.349
_cell_length_b 6.248
_cell_length_c 20.564
_cell_angle_alpha 90.00
_cell_angle_beta 90.00
_cell_angle_gamma 90.00
loop_
_atom_site_label
_atom_site_fract_x
_atom_site_fract_y
_atom_site_fract_z
_atom_site_occupancy
Th1 0.000 0.000 0.000 1
Th2 0.000 0.500 0.243 1
Ag1 0.000 0.000 0.500 1
Hg1 0.000 0.246 0.381 1
```

Peak list (10 most intense, 5° ≤ 2θ ≤ 70°, low angle first)
2θ/deg	d_spacing	I/Imax
29.69	3.009	17.1
31.53	2.837	58.5
33.57	2.670	100.0
34.54	2.597	28.3
34.90	2.571	42.6
39.70	2.270	26.8
40.32	2.237	28.9
57.01	1.616	18.5
61.74	1.502	15.1
65.84	1.419	30.0

***

The following is a computed X-ray powder pattern of Nd3ScBi4. It was derived from the GGA-PBE geometry in Alexandria, using copper Kα.

Cell and atoms:
```
data_Nd3ScBi4
_space_group_name_H-M_alt 'C m m m'
_space_group_IT_number 65
_space_group_name_Hall '-C 2 2'
_cell_length_a 9.056
_cell_length_b 12.820
_cell_length_c 4.536
_cell_angle_alpha 90.00
_cell_angle_beta 90.00
_cell_angle_gamma 90.00
loop_
_atom_site_label
_atom_site_fract_x
_atom_site_fract_y
_atom_site_fract_z
_atom_site_occupancy
Nd1 0.000 0.000 0.000 1
Nd2 0.250 0.250 0.500 1
Sc1 0.000 0.500 0.000 1
Bi1 0.000 0.258 0.000 1
Bi2 0.235 0.500 0.500 1
```

Peak list (10 most intense, 5° ≤ 2θ ≤ 70°, low angle first)
2θ/deg	d_spacing	I/Imax
24.05	3.701	12.6
27.84	3.205	100.0
30.40	2.941	3.7
39.78	2.266	77.4
47.02	1.933	6.6
49.25	1.850	27.8
55.03	1.669	2.8
57.52	1.602	13.0
65.07	1.433	30.0
65.14	1.432	5.7

***

The following is a computed X-ray powder pattern of Ac3Ga2Pd9Pt. It was derived from the GGA-PBE geometry in Alexandria, using copper Kα.

Cell and atoms:
```
data_Ac3Ga2Pd9Pt
_space_group_name_H-M_alt 'P -3 m 1'
_space_group_IT_number 164
_space_group_name_Hall '-P 3 2"'
_cell_length_a 5.8340
_cell_length_b 5.8340
_cell_length_c 11.4700
_cell_angle_alpha 90.00
_cell_angle_beta 90.00
_cell_angle_gamma 120.00
loop_
_atom_site_label
_atom_site_fract_x
_atom_site_fract_y
_atom_site_fract_z
_atom_site_occupancy
Ac1 0.0000 0.0000 0.0000 1
Ac2 0.3333 0.6667 0.5917 1
Ga1 0.3333 0.6667 0.1609 1
Pd1 0.0000 0.5000 0.0000 1
Pd2 0.1638 0.3276 0.3147 1
Pt1 0.0000 0.0000 0.5000 1
```

Peak list (10 most intense, 5° ≤ 2θ ≤ 70°, low angle first)
2θ/deg	d_spacing	I/Imax
23.27	3.823	32.5
23.47	3.791	31.5
29.29	3.049	25.1
30.65	2.917	27.3
34.50	2.600	28.4
36.01	2.494	29.3
36.42	2.467	59.3
38.96	2.312	100.0
48.00	1.896	36.4
63.82	1.459	28.9

***

The following is a computed X-ray powder pattern of Ta2MnCu2S6. It was derived from the GGA-PBE geometry in Alexandria, using copper Kα.

Cell and atoms:
```
data_Ta2MnCu2S6
_space_group_name_H-M_alt 'C 1 2/m 1'
_space_group_IT_number 12
_cell_length_a 5.714
_cell_length_b 10.679
_cell_length_c 6.258
_cell_angle_alpha 90.00
_cell_angle_beta 102.06
_cell_angle_gamma 90.00
loop_
_space_group_symop_operation_xyz
'x,y,z'
'-x,-y,-z'
'-x,y,-z'
'x,-y,z'
'x+1/2,y+1/2,z'
'-x+1/2,-y+1/2,-z'
'-x+1/2,y+1/2,-z'
'x+1/2,-y+1/2,z'
loop_
_atom_site_label
_atom_site_fract_x
_atom_site_fract_y
_atom_site_fract_z
_atom_site_occupancy
Ta1 0.000 0.134 0.000 1
Mn1 0.000 0.500 0.000 1
Cu1 0.000 0.127 0.500 1
S1 0.194 0.335 0.218 1
S2 0.247 0.000 0.268 1
```

Peak list (10 most intense, 5° ≤ 2θ ≤ 70°, low angle first)
2θ/deg	d_spacing	I/Imax
14.47	6.120	100.0
17.92	4.951	89.9
29.18	3.060	28.4
29.76	3.002	67.2
33.57	2.670	28.5
34.73	2.583	50.0
37.29	2.411	25.8
38.84	2.319	55.3
39.62	2.275	40.4
44.59	2.032	37.5

***

The following is a computed X-ray powder pattern of SrSc. It was derived from the GGA-PBE geometry in Alexandria, using copper Kα.

Cell and atoms:
```
data_SrSc
_space_group_name_H-M_alt 'C 1 m 1'
_space_group_IT_number 8
_cell_length_a 14.589
_cell_length_b 3.755
_cell_length_c 8.383
_cell_angle_alpha 90.00
_cell_angle_beta 105.22
_cell_angle_gamma 90.00
loop_
_space_group_symop_operation_xyz
'x,y,z'
'x,-y,z'
'x+1/2,y+1/2,z'
'x+1/2,-y+1/2,z'
loop_
_atom_site_label
_atom_site_fract_x
_atom_site_fract_y
_atom_site_fract_z
_atom_site_occupancy
Sr1 0.000 0.000 0.000 1
Sr2 0.039 0.000 0.516 1
Sr3 0.315 0.000 0.634 1
Sc1 0.184 0.500 0.275 1
Sc2 0.204 0.500 0.916 1
Sc3 0.338 0.000 0.193 1
```

Peak list (10 most intense, 5° ≤ 2θ ≤ 70°, low angle first)
2θ/deg	d_spacing	I/Imax
21.98	4.045	15.6
25.31	3.519	15.9
28.19	3.166	45.0
28.93	3.086	54.0
30.24	2.956	18.0
30.49	2.932	100.0
32.00	2.797	87.2
48.48	1.878	15.5
50.10	1.821	17.9
51.27	1.782	16.4

***

The following is a computed X-ray powder pattern of AcSm5N6. It was derived from the GGA-PBE geometry in Alexandria, using copper Kα.

Cell and atoms:
```
data_AcSm5N6
_space_group_name_H-M_alt 'C 1 2/m 1'
_space_group_IT_number 12
_cell_length_a 6.319
_cell_length_b 10.946
_cell_length_c 6.307
_cell_angle_alpha 90.00
_cell_angle_beta 109.45
_cell_angle_gamma 90.00
loop_
_space_group_symop_operation_xyz
'x,y,z'
'-x,-y,-z'
'-x,y,-z'
'x,-y,z'
'x+1/2,y+1/2,z'
'-x+1/2,-y+1/2,-z'
'-x+1/2,y+1/2,-z'
'x+1/2,-y+1/2,z'
loop_
_atom_site_label
_atom_site_fract_x
_atom_site_fract_y
_atom_site_fract_z
_atom_site_occupancy
Ac1 0.000 0.000 0.000 1
Sm1 0.000 0.170 0.500 1
Sm2 0.000 0.334 0.000 1
Sm3 0.000 0.500 0.500 1
N1 0.238 0.500 0.254 1
N2 0.242 0.327 0.744 1
```

Peak list (10 most intense, 5° ≤ 2θ ≤ 70°, low angle first)
2θ/deg	d_spacing	I/Imax
19.03	4.663	1.3
22.07	4.027	1.2
29.99	2.979	33.8
30.02	2.976	100.0
34.80	2.578	95.9
50.03	1.823	67.3
59.44	1.555	56.6
59.53	1.553	5.1
62.35	1.489	17.1
62.47	1.487	5.7

***

The following is a computed X-ray powder pattern of Cs3In2Br3Cl2. It was derived from the GGA-PBE geometry in Alexandria, using copper Kα.

Cell and atoms:
```
data_Cs3In2Br3Cl2
_space_group_name_H-M_alt 'I 4/m m m'
_space_group_IT_number 139
_space_group_name_Hall '-I 4 2'
_cell_length_a 5.217
_cell_length_b 5.217
_cell_length_c 36.327
_cell_angle_alpha 90.00
_cell_angle_beta 90.00
_cell_angle_gamma 90.00
loop_
_atom_site_label
_atom_site_fract_x
_atom_site_fract_y
_atom_site_fract_z
_atom_site_occupancy
Cs1 0.000 0.000 0.000 1
Cs2 0.000 0.000 0.399 1
In1 0.000 0.000 0.209 1
Br1 0.000 0.000 0.100 1
Br2 0.000 0.000 0.500 1
Cl1 0.000 0.500 0.250 1
```

Peak list (10 most intense, 5° ≤ 2θ ≤ 70°, low angle first)
2θ/deg	d_spacing	I/Imax
20.96	4.238	54.4
24.13	3.688	100.0
24.50	3.633	40.1
34.38	2.609	51.5
34.66	2.588	92.2
40.61	2.221	19.6
42.67	2.119	37.5
55.72	1.650	19.0
55.91	1.644	18.6
61.76	1.502	33.1

***

The following is a computed X-ray powder pattern of Pm3In3GaHg2. It was derived from the GGA-PBE geometry in Alexandria, using copper Kα.

Cell and atoms:
```
data_Pm3In3GaHg2
_space_group_name_H-M_alt 'P -6 2 m'
_space_group_IT_number 189
_space_group_name_Hall 'P -6 -2'
_cell_length_a 8.4997
_cell_length_b 8.4997
_cell_length_c 3.8600
_cell_angle_alpha 90.00
_cell_angle_beta 90.00
_cell_angle_gamma 120.00
loop_
_atom_site_label
_atom_site_fract_x
_atom_site_fract_y
_atom_site_fract_z
_atom_site_occupancy
Pm1 0.0000 0.7225 0.0000 1
In1 0.0000 0.3914 0.5000 1
Ga1 0.0000 0.0000 0.5000 1
Hg1 0.3333 0.6667 0.0000 1
```

Peak list (10 most intense, 5° ≤ 2θ ≤ 70°, low angle first)
2θ/deg	d_spacing	I/Imax
31.31	2.857	100.0
32.17	2.782	39.0
33.65	2.664	59.5
36.62	2.454	71.9
39.94	2.257	30.0
43.71	2.071	14.3
47.09	1.930	19.2
58.17	1.586	14.4
59.77	1.547	33.2
61.09	1.517	32.3